1.
This entry pairs a crystal structure of Ba5Cr3O13 with its simulated powder X-ray diffraction pattern. Radiation: λ = 1.5418 Å (Cu Kα). Structure: a cell relaxed with GGA+U.
Intensities are scaled so that the largest is 1000.

Structural model:
Unit cell a=10.547 b=8.020 c=10.562 alpha=90.00 beta=119.72 gamma=90.00
Positions (direct):
Ba (0.022, 0.000, 0.276)
Ba (0.217, 0.000, 0.731)
Ba (0.237, 0.500, 0.509)
Ba (0.327, 0.248, 0.173)
Ba (0.327, 0.749, 0.173)
Ba (0.673, 0.249, 0.827)
Ba (0.673, 0.748, 0.827)
Ba (0.763, 0.000, 0.491)
Ba (0.783, 0.500, 0.269)
Ba (0.978, 0.500, 0.724)
Cr (0.033, 0.499, 0.125)
Cr (0.372, 0.499, 0.907)
Cr (0.407, 0.999, 0.537)
Cr (0.593, 0.499, 0.463)
Cr (0.628, 0.999, 0.093)
Cr (0.967, 0.999, 0.875)
O (0.002, 0.531, 0.504)
O (0.091, 0.323, 0.235)
O (0.091, 0.674, 0.234)
O (0.130, 0.498, 0.033)
O (0.156, 0.999, 0.980)
O (0.265, 0.330, 0.854)
O (0.266, 0.667, 0.855)
O (0.325, 0.999, 0.347)
O (0.356, 0.823, 0.594)
O (0.358, 0.175, 0.595)
O (0.404, 0.499, 0.370)
O (0.469, 0.498, 0.089)
O (0.480, 0.499, 0.833)
O (0.520, 0.999, 0.167)
O (0.531, 0.998, 0.911)
O (0.596, 0.999, 0.630)
O (0.642, 0.675, 0.405)
O (0.644, 0.323, 0.406)
O (0.675, 0.499, 0.653)
O (0.734, 0.167, 0.145)
O (0.735, 0.830, 0.146)
O (0.844, 0.499, 0.020)
O (0.870, 0.998, 0.967)
O (0.909, 0.174, 0.766)
O (0.909, 0.823, 0.765)
O (0.998, 0.031, 0.496)

Main lines, most intense first (2θ = 15–90°):
(2 2 -1), 2θ = 27.93°, I 1000
(3 1 -1), 2θ = 28.13°, I 928
(1 1 2), 2θ = 28.04°, I 789
(1 2 -1), 2θ = 24.23°, I 573
(3 3 -1), 2θ = 42.74°, I 567
(2 0 -3), 2θ = 25.80°, I 350
(2 2 -4), 2θ = 40.94°, I 314
(3 0 0), 2θ = 29.23°, I 300
(0 2 0), 2θ = 22.17°, I 267
(5 0 -4), 2θ = 45.58°, I 259

=====

2.
This entry pairs a crystal structure of Li2FeO3 with its simulated powder X-ray diffraction pattern. Radiation: λ = 1.5418 Å (Cu Kα). Structure: a cell relaxed with GGA+U.
Intensities are scaled so that the largest is 1000.

Structural model:
Unit cell a=4.980 b=5.027 c=8.555 alpha=90.00 beta=90.00 gamma=90.00
Positions (direct):
Li (0.250, 0.000, 0.075)
Li (0.250, 0.000, 0.762)
Li (0.250, 0.500, 0.425)
Li (0.250, 0.500, 0.738)
Li (0.750, 0.000, 0.238)
Li (0.750, 0.000, 0.925)
Li (0.750, 0.500, 0.262)
Li (0.750, 0.500, 0.575)
Fe (0.250, 0.000, 0.409)
Fe (0.250, 0.500, 0.091)
Fe (0.750, 0.000, 0.591)
Fe (0.750, 0.500, 0.909)
O (0.073, 0.218, 0.576)
O (0.073, 0.282, 0.924)
O (0.106, 0.250, 0.250)
O (0.394, 0.750, 0.250)
O (0.427, 0.718, 0.924)
O (0.427, 0.782, 0.576)
O (0.573, 0.218, 0.424)
O (0.573, 0.282, 0.076)
O (0.606, 0.250, 0.750)
O (0.894, 0.750, 0.750)
O (0.927, 0.718, 0.076)
O (0.927, 0.782, 0.424)

Main lines, most intense first (2θ = 15–90°):
(0 1 1), 2θ = 20.49°, I 1000
(1 1 2), 2θ = 32.85°, I 524
(1 2 3), 2θ = 51.85°, I 466
(1 0 1), 2θ = 20.64°, I 410
(2 2 0), 2θ = 51.68°, I 234
(1 1 3), 2θ = 40.64°, I 202
(2 1 1), 2θ = 41.84°, I 193
(1 0 3), 2θ = 36.30°, I 169
(3 0 3), 2θ = 65.01°, I 158
(0 0 2), 2θ = 20.77°, I 118

=====

3.
This entry pairs a crystal structure of Sr2MgMnO4 with its simulated powder X-ray diffraction pattern. Radiation: λ = 1.5418 Å (Cu Kα). Structure: a cell relaxed with GGA+U.
Intensities are scaled so that the largest is 1000.

Structural model:
Unit cell a=3.959 b=3.959 c=18.418 alpha=90.00 beta=90.00 gamma=90.00
Positions (direct):
Sr (0.000, 0.000, 0.185)
Sr (0.000, 0.000, 0.815)
Sr (0.500, 0.500, 0.315)
Sr (0.500, 0.500, 0.685)
Mg (0.000, 0.000, 0.000)
Mg (0.500, 0.500, 0.500)
Mn (0.000, 0.000, 0.500)
Mn (0.500, 0.500, 0.000)
O (0.000, 0.000, 0.311)
O (0.000, 0.000, 0.689)
O (0.000, 0.500, 0.000)
O (0.000, 0.500, 0.500)
O (0.500, 0.000, 0.000)
O (0.500, 0.000, 0.500)
O (0.500, 0.500, 0.189)
O (0.500, 0.500, 0.811)

Main lines, most intense first (2θ = 15–90°):
(1 0 3), 2θ = 26.79°, I 1000
(1 1 0), 2θ = 31.97°, I 782
(0 0 6), 2θ = 29.09°, I 574
(2 0 0), 2θ = 45.84°, I 426
(1 1 6), 2θ = 43.76°, I 413
(2 0 6), 2θ = 55.21°, I 331
(2 1 3), 2θ = 53.89°, I 296
(0 0 4), 2θ = 19.28°, I 255
(1 1 2), 2θ = 33.46°, I 194
(1 0 5), 2θ = 33.22°, I 190

=====

4.
This entry pairs a crystal structure of MgMn6P6O24 with its simulated powder X-ray diffraction pattern. Radiation: λ = 1.5418 Å (Cu Kα). Structure: a cell relaxed with GGA+U.
Intensities are scaled so that the largest is 1000.

Structural model:
Unit cell a=8.580 b=8.877 c=8.931 alpha=107.24 beta=110.44 gamma=105.43
Positions (direct):
Mg (0.000, 0.000, 0.000)
Mn (0.028, 0.615, 0.832)
Mn (0.122, 0.167, 0.715)
Mn (0.387, 0.346, 0.353)
Mn (0.463, 0.942, 0.587)
Mn (0.633, 0.865, 0.096)
Mn (0.862, 0.477, 0.228)
P (0.136, 0.775, 0.569)
P (0.353, 0.981, 0.207)
P (0.498, 0.503, 0.089)
P (0.645, 0.698, 0.721)
P (0.865, 0.255, 0.863)
P (0.979, 0.202, 0.348)
O (0.160, 0.712, 0.713)
O (0.182, 0.287, 0.397)
O (0.189, 0.807, 0.090)
O (0.223, 0.978, 0.651)
O (0.250, 0.728, 0.470)
O (0.273, 0.116, 0.158)
O (0.322, 0.392, 0.919)
O (0.420, 0.040, 0.407)
O (0.508, 0.453, 0.245)
O (0.515, 0.009, 0.164)
O (0.525, 0.697, 0.159)
O (0.557, 0.505, 0.590)
O (0.572, 0.721, 0.859)
O (0.612, 0.814, 0.626)
O (0.656, 0.152, 0.780)
O (0.665, 0.494, 0.060)
O (0.855, 0.754, 0.823)
O (0.872, 0.048, 0.150)
O (0.901, 0.341, 0.356)
O (0.917, 0.363, 0.770)
O (0.933, 0.693, 0.424)
O (0.937, 0.370, 0.063)
O (0.947, 0.117, 0.465)
O (0.965, 0.130, 0.856)

Main lines, most intense first (2θ = 15–90°):
(1 1 -2), 2θ = 21.17°, I 1000
(1 0 -2), 2θ = 20.86°, I 707
(0 1 -2), 2θ = 21.28°, I 500
(0 2 -2), 2θ = 24.88°, I 491
(1 0 1), 2θ = 20.45°, I 478
(2 -2 0), 2θ = 25.71°, I 424
(1 -2 1), 2θ = 21.98°, I 415
(1 1 0), 2θ = 19.86°, I 390
(2 -1 0), 2θ = 22.16°, I 388
(2 0 -1), 2θ = 21.49°, I 358

=====

5.
This entry pairs a crystal structure of Ta2Zn2CoO8 with its simulated powder X-ray diffraction pattern. Radiation: λ = 1.5418 Å (Cu Kα). Structure: a cell relaxed with GGA+U.
Intensities are scaled so that the largest is 1000.

Structural model:
Unit cell a=7.942 b=7.952 c=10.102 alpha=77.23 beta=77.47 gamma=83.39
Positions (direct):
Ta (0.000, 0.000, 0.000)
Ta (0.003, 0.538, 0.544)
Ta (0.096, 0.131, 0.544)
Ta (0.407, 0.907, 0.000)
Ta (0.500, 0.500, 0.000)
Ta (0.503, 0.038, 0.544)
Ta (0.596, 0.631, 0.544)
Ta (0.907, 0.407, 0.000)
Zn (0.105, 0.602, 0.207)
Zn (0.201, 0.198, 0.208)
Zn (0.302, 0.840, 0.336)
Zn (0.398, 0.436, 0.336)
Zn (0.605, 0.102, 0.208)
Zn (0.701, 0.698, 0.208)
Zn (0.802, 0.340, 0.336)
Zn (0.898, 0.936, 0.336)
Co (0.198, 0.714, 0.772)
Co (0.304, 0.324, 0.772)
Co (0.697, 0.215, 0.772)
Co (0.806, 0.824, 0.772)
O (0.004, 0.340, 0.418)
O (0.012, 0.691, 0.656)
O (0.102, 0.011, 0.386)
O (0.117, 0.473, 0.889)
O (0.130, 0.326, 0.634)
O (0.146, 0.845, 0.126)
O (0.202, 0.612, 0.385)
O (0.240, 0.077, 0.909)
O (0.262, 0.960, 0.634)
O (0.300, 0.426, 0.158)
O (0.357, 0.193, 0.418)
O (0.374, 0.712, 0.910)
O (0.385, 0.567, 0.655)
O (0.401, 0.027, 0.158)
O (0.490, 0.348, 0.887)
O (0.499, 0.698, 0.126)
O (0.504, 0.840, 0.418)
O (0.511, 0.191, 0.657)
O (0.602, 0.511, 0.386)
O (0.617, 0.972, 0.888)
O (0.628, 0.826, 0.634)
O (0.646, 0.345, 0.126)
O (0.703, 0.112, 0.386)
O (0.740, 0.578, 0.909)
O (0.763, 0.461, 0.634)
O (0.800, 0.927, 0.158)
O (0.857, 0.693, 0.418)
O (0.875, 0.212, 0.909)
O (0.886, 0.067, 0.656)
O (0.901, 0.527, 0.158)
O (0.992, 0.847, 0.888)
O (0.999, 0.198, 0.126)

Main lines, most intense first (2θ = 15–90°):
(2 0 -2), 2θ = 32.42°, I 1000
(3 1 1), 2θ = 34.67°, I 533
(1 1 3), 2θ = 27.55°, I 415
(0 2 1), 2θ = 23.00°, I 367
(2 -2 0), 2θ = 33.92°, I 345
(3 3 -1), 2θ = 51.91°, I 290
(2 0 2), 2θ = 26.50°, I 259
(0 0 2), 2θ = 18.37°, I 214
(-4 2 2), 2θ = 59.70°, I 203
(1 3 -3), 2θ = 51.77°, I 183

=====

6.
This entry pairs a crystal structure of Li2VCrP2O8F2 with its simulated powder X-ray diffraction pattern. Radiation: λ = 1.5418 Å (Cu Kα). Structure: a cell relaxed with GGA+U.
Intensities are scaled so that the largest is 1000.

Structural model:
Unit cell a=5.215 b=7.346 c=14.979 alpha=93.86 beta=92.42 gamma=108.41
Positions (direct):
Li (0.065, 0.484, 0.295)
Li (0.268, 0.850, 0.039)
Li (0.397, 0.816, 0.628)
Li (0.603, 0.184, 0.372)
Li (0.732, 0.150, 0.961)
Li (0.935, 0.516, 0.705)
V (0.000, 0.000, 0.500)
V (0.333, 0.833, 0.834)
V (0.667, 0.167, 0.166)
Cr (0.000, 0.500, 0.500)
Cr (0.333, 0.334, 0.833)
Cr (0.667, 0.666, 0.167)
P (0.109, 0.047, 0.286)
P (0.226, 0.287, 0.046)
P (0.443, 0.382, 0.620)
P (0.557, 0.618, 0.380)
P (0.774, 0.713, 0.954)
P (0.891, 0.953, 0.714)
O (0.010, 0.154, 0.762)
O (0.046, 0.830, 0.916)
O (0.093, 0.833, 0.722)
O (0.138, 0.290, 0.946)
O (0.195, 0.041, 0.386)
O (0.236, 0.498, 0.611)
O (0.286, 0.501, 0.417)
O (0.324, 0.179, 0.571)
O (0.344, 0.488, 0.095)
O (0.381, 0.164, 0.249)
O (0.426, 0.166, 0.055)
O (0.473, 0.623, 0.280)
O (0.527, 0.377, 0.720)
O (0.574, 0.834, 0.945)
O (0.619, 0.836, 0.751)
O (0.656, 0.512, 0.905)
O (0.676, 0.821, 0.429)
O (0.714, 0.499, 0.583)
O (0.764, 0.502, 0.389)
O (0.805, 0.959, 0.614)
O (0.862, 0.710, 0.054)
O (0.907, 0.167, 0.278)
O (0.954, 0.170, 0.084)
O (0.990, 0.846, 0.238)
F (0.153, 0.783, 0.524)
F (0.180, 0.542, 0.810)
F (0.485, 0.125, 0.857)
F (0.515, 0.875, 0.143)
F (0.820, 0.458, 0.190)
F (0.847, 0.217, 0.476)

Main lines, most intense first (2θ = 15–90°):
(1 0 -4), 2θ = 29.03°, I 1000
(0 2 1), 2θ = 26.85°, I 922
(1 -2 1), 2θ = 26.70°, I 727
(1 0 -1), 2θ = 18.55°, I 595
(1 -1 0), 2θ = 18.42°, I 392
(1 0 5), 2θ = 36.22°, I 334
(0 0 3), 2θ = 17.85°, I 323
(1 1 1), 2θ = 26.50°, I 290
(1 -1 3), 2θ = 25.84°, I 274
(1 0 2), 2θ = 22.25°, I 267

=====

Copy entry 3 word for word.
This entry pairs a crystal structure of Sr2MgMnO4 with its simulated powder X-ray diffraction pattern. Radiation: λ = 1.5418 Å (Cu Kα). Structure: a cell relaxed with GGA+U.
Intensities are scaled so that the largest is 1000.

Structural model:
Unit cell a=3.959 b=3.959 c=18.418 alpha=90.00 beta=90.00 gamma=90.00
Positions (direct):
Sr (0.000, 0.000, 0.185)
Sr (0.000, 0.000, 0.815)
Sr (0.500, 0.500, 0.315)
Sr (0.500, 0.500, 0.685)
Mg (0.000, 0.000, 0.000)
Mg (0.500, 0.500, 0.500)
Mn (0.000, 0.000, 0.500)
Mn (0.500, 0.500, 0.000)
O (0.000, 0.000, 0.311)
O (0.000, 0.000, 0.689)
O (0.000, 0.500, 0.000)
O (0.000, 0.500, 0.500)
O (0.500, 0.000, 0.000)
O (0.500, 0.000, 0.500)
O (0.500, 0.500, 0.189)
O (0.500, 0.500, 0.811)

Main lines, most intense first (2θ = 15–90°):
(1 0 3), 2θ = 26.79°, I 1000
(1 1 0), 2θ = 31.97°, I 782
(0 0 6), 2θ = 29.09°, I 574
(2 0 0), 2θ = 45.84°, I 426
(1 1 6), 2θ = 43.76°, I 413
(2 0 6), 2θ = 55.21°, I 331
(2 1 3), 2θ = 53.89°, I 296
(0 0 4), 2θ = 19.28°, I 255
(1 1 2), 2θ = 33.46°, I 194
(1 0 5), 2θ = 33.22°, I 190